This entry pairs a crystal structure of Sr4Hf3O10 with its theoretical powder diffraction line list. Radiation: Cu Kα X-rays. Structure: the GGA-PBE geometry in the Materials Project.

Atomic structure:
Unit cell a=15.053 b=15.053 c=5.802 alpha=90.00 beta=90.00 gamma=22.26
Positions (direct):
Sr 0.070 0.070 0.000
Sr 0.205 0.205 0.000
Sr 0.295 0.295 0.500
Sr 0.430 0.430 0.500
Sr 0.570 0.570 0.500
Sr 0.705 0.705 0.500
Sr 0.795 0.795 0.000
Sr 0.930 0.930 0.000
Hf 0.000 0.000 0.500
Hf 0.142 0.142 0.500
Hf 0.358 0.358 0.000
Hf 0.500 0.500 0.000
Hf 0.642 0.642 0.000
Hf 0.858 0.858 0.500
O 0.070 0.070 0.500
O 0.075 0.645 0.215
O 0.145 0.575 0.715
O 0.197 0.803 0.803
O 0.212 0.212 0.500
O 0.288 0.288 0.000
O 0.303 0.697 0.303
O 0.355 0.925 0.215
O 0.425 0.855 0.715
O 0.430 0.430 0.000
O 0.570 0.570 0.000
O 0.575 0.145 0.285
O 0.645 0.075 0.785
O 0.697 0.303 0.697
O 0.712 0.712 0.000
O 0.788 0.788 0.500
O 0.803 0.197 0.197
O 0.855 0.425 0.285
O 0.925 0.355 0.785
O 0.930 0.930 0.500

Top 10 peaks for 10° ≤ 2θ ≤ 90°, sorted by position:
2θ = 18.02°, I 117; 2θ = 21.86°, I 178; 2θ = 30.37°, I 1000; 2θ = 30.80°, I 573; 2θ = 42.86°, I 149; 2θ = 44.11°, I 296; 2θ = 54.47°, I 212; 2θ = 54.53°, I 211; 2θ = 63.20°, I 172; 2θ = 88.40°, I 116